Structure and computed powder diffractogram of NaVCSO7 (the GGA+U geometry in Alexandria; Cu Kα (weighted mean of Kα1 and Kα2)).

Atomic structure:
```
NaVCSO7
1.0
5.334 0.000 0.000
0.000 6.426 0.000
-0.854 0.000 10.585
Na V C S O
2 2 2 2 14
direct
0.217 0.000 0.078
0.783 0.500 0.922
0.285 0.649 0.639
0.715 0.149 0.361
0.224 0.664 0.864
0.776 0.164 0.136
0.236 0.150 0.564
0.764 0.650 0.436
0.036 0.654 0.477
0.042 0.640 0.772
0.178 0.683 0.978
0.293 0.965 0.646
0.301 0.333 0.647
0.387 0.149 0.453
0.449 0.663 0.822
0.551 0.163 0.178
0.613 0.649 0.547
0.699 0.833 0.353
0.707 0.465 0.354
0.822 0.183 0.022
0.958 0.140 0.228
0.964 0.154 0.523
```

Top 12 peaks for 2θ from 10° to 90°, sorted by position:
| Position (°2θ) | I_rel | index |
| --- | --- | --- |
| 16.14 | 100.0 | 0 1 1 |
| 18.06 | 39.9 | 1 0 -1 |
| 19.27 | 68.3 | 1 0 1 |
| 21.73 | 21.1 | 0 1 2 |
| 22.74 | 65.1 | 1 0 -2 |
| 23.77 | 15.4 | 1 1 1 |
| 24.67 | 24.1 | 1 0 2 |
| 27.77 | 61.4 | 0 2 0 |
| 28.37 | 17.5 | 1 1 2 |
| 29.04 | 16.1 | 0 2 1 |
| 33.71 | 17.0 | 2 0 0 |
| 45.67 | 15.8 | 1 3 0 |